The following is a calculated powder diffraction line list of BaCr2PO11. It was derived from a structure optimized by DFT (PBE+U), using λ = 1.5418 Å (Cu Kα).
No peak broadening, texture or thermal motion is included.

The 10 most intense peaks (10 to 80 degrees two-theta), low angle first:
hkl 0 1 1, 2θ = 16.24°, intensity 74; hkl 0 0 2, 2θ = 19.04°, intensity 97; hkl 1 1 -2, 2θ = 23.88°, intensity 97; hkl -2 1 1, 2θ = 24.50°, intensity 91; hkl 2 0 0, 2θ = 25.62°, intensity 40; hkl 1 -2 1, 2θ = 25.82°, intensity 100; hkl 0 2 1, 2θ = 27.11°, intensity 64; hkl 1 0 -3, 2θ = 27.95°, intensity 30; hkl 2 0 1, 2θ = 29.83°, intensity 47; hkl 3 0 -3, 2θ = 41.53°, intensity 35

Atomic structure:
Unit cell a=7.537 b=7.726 c=9.726 alpha=92.59 beta=104.98 gamma=105.93
Space group P-1 (No. 2)
One atom of each set of equivalent atoms:
Ba: 0.229 0.044 0.376 [2 per cell]
Cr: 0.264 0.765 0.738 [2 per cell]
Cr: 0.402 0.581 0.236 [2 per cell]
P: 0.160 0.331 0.711 [2 per cell]
O: 0.020 0.253 0.795 [2 per cell]
O: 0.102 0.852 0.764 [2 per cell]
O: 0.124 0.211 0.572 [2 per cell]
O: 0.154 0.528 0.674 [2 per cell]
O: 0.227 0.533 0.090 [2 per cell]
O: 0.303 0.249 0.120 [2 per cell]
O: 0.362 0.867 0.618 [2 per cell]
O: 0.375 0.365 0.810 [2 per cell]
O: 0.387 0.405 0.331 [2 per cell]
O: 0.401 0.755 0.335 [2 per cell]
O: 0.431 0.790 0.890 [2 per cell]


The following is a calculated powder diffraction line list of LiAc2FeO6. It was derived from a structure optimized by DFT (PBE+U), using λ = 1.5418 Å (Cu Kα).
No peak broadening, texture or thermal motion is included.

The 10 most intense peaks (10 to 80 degrees two-theta), low angle first:
hkl 2 0 0, 2θ = 22.57°, intensity 74; hkl 2 0 -2, 2θ = 32.01°, intensity 20; hkl 1 1 1, 2θ = 32.16°, intensity 100; hkl 0 0 2, 2θ = 39.54°, intensity 23; hkl 2 2 0, 2θ = 39.72°, intensity 23; hkl 2 2 -2, 2θ = 46.05°, intensity 24; hkl 0 2 2, 2θ = 51.91°, intensity 18; hkl 5 1 -3, 2θ = 57.14°, intensity 17; hkl 4 2 0, 2θ = 57.41°, intensity 24; hkl 2 2 2, 2θ = 67.26°, intensity 14

Atomic structure:
Unit cell a=9.647 b=5.557 c=5.593 alpha=90.00 beta=125.39 gamma=90.00
Space group C2/m (No. 12)
One atom of each set of equivalent atoms:
Li: 0.000 0.000 0.000 [2 per cell]
Ac: 0.250 0.000 0.750 [4 per cell]
Fe: 0.000 0.500 0.500 [2 per cell]
O: 0.015 0.260 0.277 [8 per cell]
O: 0.239 0.500 0.769 [4 per cell]